1.
Diffraction record for LiZnSb4O8. The X-ray powder pattern is simulated, not measured: it uses a structure optimized by DFT (GGA-PBE) and copper Kα.

Cell and atoms:
```
data_LiZnSb4O8
_chemical_formula_sum 'Li1 Zn1 Sb4 O8'
_space_group_name_H-M_alt 'P 1'
_space_group_IT_number 1
_cell_length_a 3.4605
_cell_length_b 6.6059
_cell_length_c 9.5111
_cell_angle_alpha 75.20
_cell_angle_beta 83.57
_cell_angle_gamma 84.34
loop_
_space_group_symop_operation_xyz
'x,y,z'
loop_
_atom_site_label
_atom_site_fract_x
_atom_site_fract_y
_atom_site_fract_z
Li1 0.0000 0.0000 0.0000
Zn1 0.8958 0.5556 0.5477
Sb1 0.0796 0.0074 0.3094
Sb2 0.2843 0.5006 0.8421
Sb3 0.4488 0.0883 0.6268
Sb4 0.5368 0.6098 0.1794
O1 0.0616 0.6863 0.3380
O2 0.1354 0.6631 0.0227
O3 0.4026 0.4143 0.6322
O4 0.5207 0.9304 0.4513
O5 0.5245 0.9213 0.1349
O6 0.8606 0.6893 0.7304
O7 0.8738 0.2992 0.9170
O8 0.9608 0.1970 0.5111
```

Main lines, by angle (2θ = 15–90°):
| two_theta | d/Å | Rel. int. | h k l |
| --- | --- | --- | --- |
| 18.83 | 4.712 | 100 | 0 1 -1 |
| 28.02 | 3.185 | 66 | 0 2 0 |
| 29.15 | 3.064 | 64 | 0 1 3 |
| 29.95 | 2.983 | 30 | 0 2 2 |
| 31.14 | 2.872 | 43 | 1 0 2 |
| 31.27 | 2.860 | 30 | 1 1 2 |
| 31.70 | 2.822 | 45 | -1 1 1 |
| 32.17 | 2.783 | 59 | 1 1 -1 |
| 37.01 | 2.429 | 22 | 1 -1 2 |
| 54.65 | 1.679 | 24 | 1 0 5 |

2.
Diffraction record for LiZnSb4O8. The X-ray powder pattern is simulated, not measured: it uses a structure optimized by DFT (GGA-PBE) and copper Kα.

Cell and atoms:
```
data_LiZnSb4O8
_chemical_formula_sum 'Li1 Zn1 Sb4 O8'
_space_group_name_H-M_alt 'P 1'
_space_group_IT_number 1
_cell_length_a 3.4035
_cell_length_b 7.2656
_cell_length_c 9.0135
_cell_angle_alpha 111.35
_cell_angle_beta 99.47
_cell_angle_gamma 90.69
loop_
_space_group_symop_operation_xyz
'x,y,z'
loop_
_atom_site_label
_atom_site_fract_x
_atom_site_fract_y
_atom_site_fract_z
Li1 0.0000 0.0000 0.0000
Zn1 0.8018 0.0106 0.6829
Sb1 0.0797 0.7480 0.2912
Sb2 0.3037 0.5904 0.7058
Sb3 0.4448 0.3353 0.9634
Sb4 0.7018 0.1928 0.3498
O1 0.0688 0.9755 0.2115
O2 0.2274 0.3317 0.5167
O3 0.3628 0.0210 0.8252
O4 0.5257 0.6447 0.1274
O5 0.7040 0.9788 0.4506
O6 0.7689 0.6844 0.6160
O7 0.8651 0.3490 0.8135
O8 0.9894 0.2898 0.0897
```

Main lines, by angle (2θ = 15–90°):
| two_theta | d/Å | Rel. int. | h k l |
| --- | --- | --- | --- |
| 19.85 | 4.473 | 41 | 0 1 1 |
| 20.64 | 4.303 | 100 | 0 1 -2 |
| 21.53 | 4.128 | 32 | 0 0 2 |
| 27.23 | 3.274 | 89 | 0 2 -2 |
| 30.74 | 2.909 | 79 | 1 1 0 |
| 30.87 | 2.897 | 70 | -1 1 1 |
| 32.18 | 2.782 | 63 | 0 2 1 |
| 32.54 | 2.752 | 42 | 0 0 3 |
| 36.22 | 2.480 | 51 | 1 -1 2 |
| 37.15 | 2.420 | 69 | 1 1 -3 |

3.
Diffraction record for LiZnSb4O8. The X-ray powder pattern is simulated, not measured: it uses a structure optimized by DFT (GGA-PBE) and copper Kα.

Cell and atoms:
```
data_LiZnSb4O8
_chemical_formula_sum 'Li1 Zn1 Sb4 O8'
_space_group_name_H-M_alt 'P 1'
_space_group_IT_number 1
_cell_length_a 3.4844
_cell_length_b 7.9556
_cell_length_c 8.7504
_cell_angle_alpha 109.97
_cell_angle_beta 100.66
_cell_angle_gamma 92.61
loop_
_space_group_symop_operation_xyz
'x,y,z'
loop_
_atom_site_label
_atom_site_fract_x
_atom_site_fract_y
_atom_site_fract_z
Li1 0.0000 0.0000 0.0000
Zn1 0.8822 0.7549 0.3075
Sb1 0.2209 0.6357 0.9303
Sb2 0.4423 0.1342 0.3399
Sb3 0.5502 0.7863 0.6278
Sb4 0.5808 0.2791 0.9681
O1 0.0889 0.9310 0.7739
O2 0.1217 0.3677 0.8434
O3 0.3003 0.2356 0.1402
O4 0.4359 0.8891 0.3972
O5 0.6008 0.6198 0.7693
O6 0.7120 0.5578 0.0842
O7 0.8671 0.0023 0.2151
O8 0.9465 0.6515 0.4927
```

Main lines, by angle (2θ = 15–90°):
| two_theta | d/Å | Rel. int. | h k l |
| --- | --- | --- | --- |
| 18.94 | 4.684 | 100 | 0 1 1 |
| 21.06 | 4.218 | 34 | 0 1 -2 |
| 23.97 | 3.713 | 43 | 0 2 0 |
| 26.23 | 3.398 | 40 | 0 2 -2 |
| 30.22 | 2.957 | 33 | 1 -1 1 |
| 31.08 | 2.878 | 44 | 1 1 -2 |
| 33.46 | 2.678 | 29 | 0 0 3 |
| 33.57 | 2.669 | 35 | 1 -2 0 |
| 33.88 | 2.646 | 27 | 0 3 -1 |
| 35.57 | 2.524 | 39 | 1 1 1 |

4.
Diffraction record for LiZnSb4O8. The X-ray powder pattern is simulated, not measured: it uses a structure optimized by DFT (GGA-PBE) and copper Kα.

Cell and atoms:
```
data_LiZnSb4O8
_chemical_formula_sum 'Li1 Zn1 Sb4 O8'
_space_group_name_H-M_alt 'P 1'
_space_group_IT_number 1
_cell_length_a 3.5581
_cell_length_b 7.9209
_cell_length_c 8.4934
_cell_angle_alpha 68.50
_cell_angle_beta 78.02
_cell_angle_gamma 89.84
loop_
_space_group_symop_operation_xyz
'x,y,z'
loop_
_atom_site_label
_atom_site_fract_x
_atom_site_fract_y
_atom_site_fract_z
Li1 0.0000 0.0000 0.0000
Zn1 0.0881 0.3562 0.9481
Sb1 0.1404 0.7549 0.3189
Sb2 0.5080 0.1662 0.3196
Sb3 0.6081 0.7180 0.8823
Sb4 0.7556 0.3316 0.6300
O1 0.0502 0.5952 0.0037
O2 0.1448 0.2055 0.7761
O3 0.2841 0.5012 0.4820
O4 0.4059 0.8922 0.4251
O5 0.5065 0.8375 0.0771
O6 0.6383 0.4652 0.8354
O7 0.8131 0.1545 0.5075
O8 0.9886 0.1283 0.1572
```

Main lines, by angle (2θ = 15–90°):
| two_theta | d/Å | Rel. int. | h k l |
| --- | --- | --- | --- |
| 19.57 | 4.536 | 100 | 0 1 -1 |
| 21.67 | 4.101 | 70 | 0 1 2 |
| 23.09 | 3.853 | 43 | 0 0 2 |
| 24.23 | 3.673 | 83 | 0 2 0 |
| 26.54 | 3.359 | 45 | 0 2 2 |
| 29.46 | 3.032 | 55 | 1 -1 1 |
| 30.39 | 2.941 | 96 | -1 1 1 |
| 33.99 | 2.638 | 49 | 1 2 1 |
| 34.92 | 2.569 | 47 | 0 0 3 |
| 35.30 | 2.543 | 94 | 1 1 -1 |

5.
Diffraction record for LiSc4O5. The X-ray powder pattern is simulated, not measured: it uses a structure optimized by DFT (GGA-PBE) and copper Kα.

Cell and atoms:
```
data_LiSc4O5
_chemical_formula_sum 'Li2 Sc8 O10'
_space_group_name_H-M_alt 'I m m m'
_space_group_IT_number 71
_space_group_name_Hall '-I 2 2'
_cell_length_a 3.1375
_cell_length_b 4.3834
_cell_length_c 15.7007
_cell_angle_alpha 90.00
_cell_angle_beta 90.00
_cell_angle_gamma 90.00
loop_
_atom_site_label
_atom_site_fract_x
_atom_site_fract_y
_atom_site_fract_z
Li1 0.0000 0.0000 0.0000
Sc1 0.0000 0.0000 0.2008
Sc2 0.0000 0.0000 0.4032
O1 0.0000 0.5000 0.0000
O2 0.0000 0.5000 0.1976
O3 0.0000 0.5000 0.3995
```

Main lines, by angle (2θ = 15–90°):
| two_theta | d/Å | Rel. int. | h k l |
| --- | --- | --- | --- |
| 21.04 | 4.222 | 15 | 0 1 1 |
| 26.52 | 3.360 | 9 | 0 1 3 |
| 35.17 | 2.552 | 45 | 1 1 0 |
| 40.65 | 2.219 | 100 | 1 0 5 |
| 41.19 | 2.192 | 48 | 0 2 0 |
| 58.84 | 1.569 | 28 | 2 0 0 |
| 59.25 | 1.559 | 55 | 1 2 5 |
| 70.43 | 1.337 | 13 | 2 1 5 |
| 74.34 | 1.276 | 25 | 2 2 0 |
| 88.00 | 1.110 | 8 | 2 0 10 |

6.
Diffraction record for LiSc4Si4O14. The X-ray powder pattern is simulated, not measured: it uses a structure optimized by DFT (GGA-PBE) and copper Kα.

Cell and atoms:
```
data_LiSc4Si4O14
_chemical_formula_sum 'Li4 Sc16 Si16 O56'
_space_group_name_H-M_alt 'F -4 3 m'
_space_group_IT_number 216
_space_group_name_Hall 'F -4 2 3'
_cell_length_a 9.5013
_cell_length_b 9.5013
_cell_length_c 9.5013
_cell_angle_alpha 90.00
_cell_angle_beta 90.00
_cell_angle_gamma 90.00
loop_
_atom_site_label
_atom_site_fract_x
_atom_site_fract_y
_atom_site_fract_z
Li1 0.0000 0.0000 0.0000
Sc1 0.1249 0.1249 0.6249
Si1 0.1314 0.1314 0.1314
O1 0.0000 0.0000 0.1976
O2 0.0000 0.0000 0.5000
O3 0.0543 0.2500 0.2500
O4 0.2500 0.2500 0.7500
```

Main lines, by angle (2θ = 15–90°):
| two_theta | d/Å | Rel. int. | h k l |
| --- | --- | --- | --- |
| 32.65 | 2.743 | 100 | 2 2 2 |
| 37.88 | 2.375 | 7 | 4 0 0 |
| 41.42 | 2.180 | 23 | 3 3 1 |
| 49.87 | 1.829 | 10 | 3 3 3 |
| 54.64 | 1.680 | 61 | 4 4 0 |
| 65.12 | 1.432 | 34 | 6 2 2 |
| 68.41 | 1.371 | 6 | 4 4 4 |
| 80.95 | 1.188 | 7 | 8 0 0 |
| 83.23 | 1.161 | 3 | 7 3 3 |
| 87.02 | 1.120 | 3 | 6 6 0 |

7.
Diffraction record for LiSc4Si4O14. The X-ray powder pattern is simulated, not measured: it uses a structure optimized by DFT (GGA-PBE) and copper Kα.

Cell and atoms:
```
data_LiSc4Si4O14
_chemical_formula_sum 'Li3 Sc12 Si12 O42'
_space_group_name_H-M_alt 'R 3 m'
_space_group_IT_number 160
_space_group_name_Hall 'R 3 -2"'
_cell_length_a 6.6292
_cell_length_b 6.6292
_cell_length_c 16.7615
_cell_angle_alpha 90.00
_cell_angle_beta 90.00
_cell_angle_gamma 120.00
loop_
_atom_site_label
_atom_site_fract_x
_atom_site_fract_y
_atom_site_fract_z
Li1 0.0000 0.0000 0.0000
Sc1 0.0000 0.0000 0.7578
Sc2 0.0246 0.5123 0.2433
Si1 0.0000 0.0000 0.2608
Si2 0.1677 0.3355 0.0899
O1 0.0000 0.0000 0.6391
O2 0.0000 0.0000 0.8841
O3 0.0653 0.5326 0.8651
O4 0.0693 0.5347 0.1127
O5 0.1994 0.3988 0.9833
O6 0.2026 0.4052 0.7366
```

Main lines, by angle (2θ = 15–90°):
| two_theta | d/Å | Rel. int. | h k l |
| --- | --- | --- | --- |
| 32.04 | 2.794 | 36 | 0 0 6 |
| 32.98 | 2.716 | 100 | 2 0 2 |
| 38.00 | 2.368 | 12 | 0 2 4 |
| 41.98 | 2.152 | 17 | 2 1 1 |
| 54.20 | 1.692 | 40 | 2 0 8 |
| 55.44 | 1.657 | 43 | 2 2 0 |
| 64.36 | 1.447 | 10 | 0 2 10 |
| 65.48 | 1.425 | 21 | 2 2 6 |
| 66.04 | 1.415 | 11 | 0 4 2 |
| 81.24 | 1.184 | 9 | 0 4 8 |

8.
Diffraction record for LiScTeO2. The X-ray powder pattern is simulated, not measured: it uses a structure optimized by DFT (GGA-PBE) and copper Kα.

Cell and atoms:
```
data_LiScTeO2
_chemical_formula_sum 'Li1 Sc1 Te1 O2'
_space_group_name_H-M_alt 'P 4/m m m'
_space_group_IT_number 123
_space_group_name_Hall '-P 4 2'
_cell_length_a 3.9658
_cell_length_b 3.9658
_cell_length_c 4.4093
_cell_angle_alpha 90.00
_cell_angle_beta 90.00
_cell_angle_gamma 90.00
loop_
_atom_site_label
_atom_site_fract_x
_atom_site_fract_y
_atom_site_fract_z
Li1 0.0000 0.0000 0.0000
Sc1 0.0000 0.0000 0.5000
Te1 0.5000 0.5000 0.5000
O1 0.0000 0.5000 0.0000
```

Main lines, by angle (2θ = 15–90°):
| two_theta | d/Å | Rel. int. | h k l |
| --- | --- | --- | --- |
| 20.14 | 4.409 | 55 | 0 0 1 |
| 22.42 | 3.966 | 27 | 1 0 0 |
| 30.31 | 2.949 | 34 | 1 0 1 |
| 31.91 | 2.804 | 41 | 1 1 0 |
| 38.03 | 2.366 | 100 | 1 1 1 |
| 40.94 | 2.205 | 22 | 0 0 2 |
| 45.76 | 1.983 | 32 | 2 0 0 |
| 50.46 | 1.808 | 20 | 2 0 1 |
| 52.82 | 1.733 | 21 | 1 1 2 |
| 63.05 | 1.474 | 23 | 2 0 2 |

9.
Diffraction record for LiSeO3. The X-ray powder pattern is simulated, not measured: it uses a structure optimized by DFT (GGA-PBE) and copper Kα.

Cell and atoms:
```
data_LiSeO3
_chemical_formula_sum 'Li4 Se4 O12'
_space_group_name_H-M_alt 'P 21 21 21'
_space_group_IT_number 19
_cell_length_a 5.2224
_cell_length_b 5.8843
_cell_length_c 10.7155
_cell_angle_alpha 90.00
_cell_angle_beta 90.00
_cell_angle_gamma 90.00
loop_
_space_group_symop_operation_xyz
'x,y,z'
'-x+1/2,-y,z+1/2'
'x+1/2,-y+1/2,-z'
'-x,y+1/2,-z+1/2'
loop_
_atom_site_label
_atom_site_fract_x
_atom_site_fract_y
_atom_site_fract_z
Li1 0.1898 0.2024 0.4149
Se1 0.1828 0.6167 0.6137
O1 0.1298 0.0968 0.9287
O2 0.1726 0.6227 0.0604
O3 0.2052 0.6217 0.7701
```

Main lines, by angle (2θ = 15–90°):
| two_theta | d/Å | Rel. int. | h k l |
| --- | --- | --- | --- |
| 17.19 | 5.158 | 32 | 0 1 1 |
| 18.90 | 4.695 | 19 | 1 0 1 |
| 22.44 | 3.962 | 100 | 0 1 2 |
| 22.77 | 3.906 | 70 | 1 1 0 |
| 23.79 | 3.740 | 60 | 1 0 2 |
| 24.25 | 3.670 | 54 | 1 1 1 |
| 28.28 | 3.156 | 19 | 1 1 2 |
| 31.53 | 2.837 | 32 | 0 2 1 |
| 34.34 | 2.611 | 18 | 2 0 0 |
| 35.00 | 2.563 | 17 | 1 2 0 |

10.
Diffraction record for Li2SeO4. The X-ray powder pattern is simulated, not measured: it uses a structure optimized by DFT (GGA-PBE) and copper Kα.

Cell and atoms:
```
data_Li2SeO4
_chemical_formula_sum 'Li8 Se4 O16'
_space_group_name_H-M_alt 'C 1 2/c 1'
_space_group_IT_number 15
_cell_length_a 5.9718
_cell_length_b 10.2157
_cell_length_c 6.3186
_cell_angle_alpha 90.00
_cell_angle_beta 117.92
_cell_angle_gamma 90.00
loop_
_space_group_symop_operation_xyz
'x,y,z'
'-x,-y,-z'
'-x,y,-z+1/2'
'x,-y,z+1/2'
'x+1/2,y+1/2,z'
'-x+1/2,-y+1/2,-z'
'-x+1/2,y+1/2,-z+1/2'
'x+1/2,-y+1/2,z+1/2'
loop_
_atom_site_label
_atom_site_fract_x
_atom_site_fract_y
_atom_site_fract_z
Li1 0.0000 0.0250 0.2500
Li2 0.0000 0.3453 0.7500
Se1 0.0000 0.3756 0.2500
O1 0.0402 0.2805 0.0573
O2 0.2460 0.4806 0.3870
```

Main lines, by angle (2θ = 15–90°):
| two_theta | d/Å | Rel. int. | h k l |
| --- | --- | --- | --- |
| 18.96 | 4.681 | 100 | 1 1 0 |
| 23.61 | 3.769 | 55 | 0 2 1 |
| 29.54 | 3.024 | 21 | 1 1 1 |
| 29.66 | 3.012 | 30 | 1 1 -2 |
| 31.28 | 2.860 | 42 | 1 3 0 |
| 33.98 | 2.638 | 11 | 2 0 0 |
| 34.80 | 2.578 | 13 | 2 2 -1 |
| 48.30 | 1.884 | 11 | 0 4 2 |
| 49.68 | 1.835 | 8 | 2 4 0 |
| 49.79 | 1.831 | 9 | 2 4 -2 |

11.
Diffraction record for Li5SeO5. The X-ray powder pattern is simulated, not measured: it uses a structure optimized by DFT (GGA-PBE) and copper Kα.

Cell and atoms:
```
data_Li5SeO5
_chemical_formula_sum 'Li10 Se2 O10'
_space_group_name_H-M_alt 'C 1 2 1'
_space_group_IT_number 5
_cell_length_a 9.5145
_cell_length_b 4.1600
_cell_length_c 5.7602
_cell_angle_alpha 90.00
_cell_angle_beta 108.96
_cell_angle_gamma 90.00
loop_
_space_group_symop_operation_xyz
'x,y,z'
'-x,y,-z'
'x+1/2,y+1/2,z'
'-x+1/2,y+1/2,-z'
loop_
_atom_site_label
_atom_site_fract_x
_atom_site_fract_y
_atom_site_fract_z
Li1 0.0000 0.0000 0.0000
Li2 0.1849 0.5087 0.3617
Li3 0.1999 0.5101 0.8299
Se1 0.0000 0.0342 0.5000
O1 0.0000 0.4603 0.5000
O2 0.1430 0.0039 0.3293
O3 0.1567 0.0035 0.8154
```

Main lines, by angle (2θ = 15–90°):
| two_theta | d/Å | Rel. int. | h k l |
| --- | --- | --- | --- |
| 16.27 | 5.448 | 100 | 0 0 1 |
| 19.73 | 4.499 | 28 | 2 0 0 |
| 21.13 | 4.204 | 49 | 2 0 -1 |
| 23.56 | 3.776 | 93 | 1 1 0 |
| 26.83 | 3.323 | 24 | 1 1 -1 |
| 29.57 | 3.021 | 22 | 2 0 1 |
| 30.59 | 2.922 | 16 | 1 1 1 |
| 43.03 | 2.102 | 26 | 4 0 -2 |
| 43.52 | 2.080 | 35 | 0 2 0 |
| 44.11 | 2.053 | 25 | 2 0 2 |

Q: Number 3 is which compound?
A: LiZnSb4O8

Please write out number 8 again, unchanged.
Diffraction record for LiScTeO2. The X-ray powder pattern is simulated, not measured: it uses a structure optimized by DFT (GGA-PBE) and copper Kα.

Cell and atoms:
```
data_LiScTeO2
_chemical_formula_sum 'Li1 Sc1 Te1 O2'
_space_group_name_H-M_alt 'P 4/m m m'
_space_group_IT_number 123
_space_group_name_Hall '-P 4 2'
_cell_length_a 3.9658
_cell_length_b 3.9658
_cell_length_c 4.4093
_cell_angle_alpha 90.00
_cell_angle_beta 90.00
_cell_angle_gamma 90.00
loop_
_atom_site_label
_atom_site_fract_x
_atom_site_fract_y
_atom_site_fract_z
Li1 0.0000 0.0000 0.0000
Sc1 0.0000 0.0000 0.5000
Te1 0.5000 0.5000 0.5000
O1 0.0000 0.5000 0.0000
```

Main lines, by angle (2θ = 15–90°):
| two_theta | d/Å | Rel. int. | h k l |
| --- | --- | --- | --- |
| 20.14 | 4.409 | 55 | 0 0 1 |
| 22.42 | 3.966 | 27 | 1 0 0 |
| 30.31 | 2.949 | 34 | 1 0 1 |
| 31.91 | 2.804 | 41 | 1 1 0 |
| 38.03 | 2.366 | 100 | 1 1 1 |
| 40.94 | 2.205 | 22 | 0 0 2 |
| 45.76 | 1.983 | 32 | 2 0 0 |
| 50.46 | 1.808 | 20 | 2 0 1 |
| 52.82 | 1.733 | 21 | 1 1 2 |
| 63.05 | 1.474 | 23 | 2 0 2 |